Theoretical powder diffraction line list
Compound: Fe4O3F5
Radiation: Cu Kα (λ = 1.5418 Å)
Structure: a PBE+U-relaxed structure

Structural model:
a b c (Å): 4.789 4.789 12.376
angles (deg): 90.00 90.00 85.82
Sites, in units of the cell vectors:
Fe (0.000, 0.000, 0.000)
Fe (0.000, 0.000, 0.500)
Fe (0.026, 0.974, 0.750)
Fe (0.490, 0.510, 0.619)
Fe (0.490, 0.510, 0.881)
Fe (0.510, 0.490, 0.119)
Fe (0.510, 0.490, 0.381)
Fe (0.974, 0.026, 0.250)
O (0.298, 0.702, 0.003)
O (0.298, 0.702, 0.497)
O (0.329, 0.671, 0.750)
O (0.671, 0.329, 0.250)
O (0.702, 0.298, 0.503)
O (0.702, 0.298, 0.997)
F (0.197, 0.204, 0.120)
F (0.197, 0.204, 0.380)
F (0.204, 0.197, 0.620)
F (0.204, 0.197, 0.880)
F (0.288, 0.712, 0.250)
F (0.712, 0.288, 0.750)
F (0.796, 0.803, 0.120)
F (0.796, 0.803, 0.380)
F (0.803, 0.796, 0.620)
F (0.803, 0.796, 0.880)

Principal peaks in the range 10° ≤ 2θ ≤ 80°, most intense first:
d/Å, 2θ/deg, I/Imax
2.597, 34.54, 100
3.507, 25.40, 96
3.260, 27.35, 89
1.793, 50.92, 65
1.416, 66.00, 49
1.724, 53.12, 49
1.754, 52.16, 21
2.320, 38.81, 18
1.547, 59.78, 16
2.244, 40.18, 15